1.
Simulated powder X-ray diffraction pattern of TcN for λ = 1.5418 Å (Cu Kα), from a DFT-relaxed cell (PBE, the Materials Project).
Peak positions follow from Bragg's law for the DFT cell and can differ from measured ones.

The 10 most intense peaks (10° ≤ 2θ ≤ 90°), most intense first:
hkl	2θ/deg	Rel. int.
1 1 1	38.46	100
2 0 0	44.70	81
1 1 0	31.20	51
2 2 0	65.07	49
3 1 1	78.19	39
1 0 0	21.92	35
2 1 1	55.52	18
2 2 2	82.40	16
2 1 0	50.32	16
3 0 0	69.56	7

Atomic structure:
abc: 4.0544 4.0544 4.0544
angles: 90.00 90.00 90.00
Space group Pm-3m (No. 221)
One atom of each set of equivalent atoms:
Tc1 0.0000 0.0000 0.5000 [3 per cell]
N1 0.0000 0.5000 0.5000 [3 per cell]



2.
Simulated powder X-ray diffraction pattern of NdCl2 for λ = 1.5418 Å (Cu Kα), from a DFT-relaxed cell (PBE, the Materials Project).
Peak positions follow from Bragg's law for the DFT cell and can differ from measured ones.

The 10 most intense peaks (10° ≤ 2θ ≤ 90°), most intense first:
hkl	2θ/deg	Rel. int.
2 1 0	30.50	100
1 0 2	22.12	84
3 1 2	42.15	60
2 1 1	32.20	58
2 0 1	20.31	53
1 1 3	40.77	51
1 0 1	13.38	46
4 0 1	37.09	41
2 0 0	17.58	40
4 1 0	43.79	40

Atomic structure:
abc: 10.0894 3.6016 8.7624
angles: 90.00 90.00 90.00
Space group Pnma (No. 62)
One atom of each set of equivalent atoms:
Nd1 0.1789 0.2500 0.1276 [4 per cell]
Cl1 0.0470 0.2500 0.8330 [4 per cell]
Cl2 0.1617 0.2500 0.4501 [4 per cell]



3.
Simulated powder X-ray diffraction pattern of Cs2AlHgBr6 for λ = 1.5418 Å (Cu Kα), from a DFT-relaxed cell (PBE, the Materials Project).
Peak positions follow from Bragg's law for the DFT cell and can differ from measured ones.

The 10 most intense peaks (10° ≤ 2θ ≤ 90°), most intense first:
hkl	2θ/deg	Rel. int.
4 0 0	31.97	100
4 4 0	45.84	69
2 2 0	22.46	59
2 2 2	27.60	56
3 3 1	34.93	27
8 4 0	76.02	27
3 1 1	26.40	26
4 2 2	39.42	24
4 4 4	56.98	23
8 4 4	84.84	20

Atomic structure:
abc: 11.1974 11.1974 11.1974
angles: 90.00 90.00 90.00
Space group Fm-3m (No. 225)
One atom of each set of equivalent atoms:
Cs1 0.2500 0.2500 0.2500 [8 per cell]
Al1 0.0000 0.0000 0.0000 [4 per cell]
Hg1 0.0000 0.0000 0.5000 [4 per cell]
Br1 0.0000 0.0000 0.2284 [24 per cell]



4.
Simulated powder X-ray diffraction pattern of YCo4B for λ = 1.5418 Å (Cu Kα), from a DFT-relaxed cell (PBE, the Materials Project).
Peak positions follow from Bragg's law for the DFT cell and can differ from measured ones.

The 10 most intense peaks (10° ≤ 2θ ≤ 90°), most intense first:
hkl	2θ/deg	Rel. int.
1 1 1	44.56	100
1 0 1	32.90	87
2 0 0	41.79	75
2 0 2	68.99	31
2 0 1	49.54	27
0 0 2	52.20	25
3 0 1	70.68	25
2 2 0	76.29	21
2 1 1	62.74	20
1 1 0	35.98	19

Atomic structure:
abc: 4.9923 4.9923 3.5046
angles: 90.00 90.00 120.00
Space group P-6m2 (No. 187)
One atom of each set of equivalent atoms:
Y1 0.0000 0.0000 0.0000 [1 per cell]
Co1 0.0179 0.5090 0.5000 [3 per cell]
Co2 0.6667 0.3333 0.0000 [1 per cell]
B1 0.3333 0.6667 0.0000 [1 per cell]



5.
Simulated powder X-ray diffraction pattern of TaBi4ClO8 for λ = 1.5418 Å (Cu Kα), from a DFT-relaxed cell (PBE, the Materials Project).
Peak positions follow from Bragg's law for the DFT cell and can differ from measured ones.

The 10 most intense peaks (10° ≤ 2θ ≤ 90°), most intense first:
hkl	2θ/deg	Rel. int.
1 0 3	29.55	100
1 1 0	32.41	42
2 1 3	56.05	35
2 0 0	46.49	23
1 0 2	25.98	17
1 1 6	50.54	16
1 1 5	45.63	15
1 0 8	56.56	14
2 1 8	76.14	12
0 0 6	37.70	10

Atomic structure:
abc: 3.9071 3.9071 14.3174
angles: 90.00 90.00 90.00
Space group P4/mmm (No. 123)
One atom of each set of equivalent atoms:
Ta1 0.0000 0.0000 0.0000 [1 per cell]
Bi1 0.0000 0.0000 0.3600 [2 per cell]
Bi2 0.5000 0.5000 0.1832 [2 per cell]
Cl1 0.5000 0.5000 0.5000 [1 per cell]
O1 0.0000 0.0000 0.1414 [2 per cell]
O2 0.0000 0.5000 0.0000 [2 per cell]
O3 0.0000 0.5000 0.2836 [4 per cell]



6.
Simulated powder X-ray diffraction pattern of Ce3Cu for λ = 1.5418 Å (Cu Kα), from a DFT-relaxed cell (PBE, the Materials Project).
Peak positions follow from Bragg's law for the DFT cell and can differ from measured ones.

The 10 most intense peaks (10° ≤ 2θ ≤ 90°), most intense first:
hkl	2θ/deg	Rel. int.
1 1 2	34.26	100
2 0 0	40.45	32
3 1 2	69.61	25
2 0 4	56.97	23
0 0 4	38.36	18
1 1 6	66.75	14
2 2 4	72.18	11
2 2 0	58.54	11
1 0 1	22.07	6
4 0 0	87.49	3

Atomic structure:
abc: 4.4597 4.4597 9.3861
angles: 90.00 90.00 90.00
Space group I4/mmm (No. 139)
One atom of each set of equivalent atoms:
Ce1 0.0000 0.0000 0.0000 [2 per cell]
Ce2 0.0000 0.5000 0.2500 [4 per cell]
Cu1 0.0000 0.0000 0.5000 [2 per cell]



7.
Simulated powder X-ray diffraction pattern of ErNi4 for λ = 1.5418 Å (Cu Kα), from a DFT-relaxed cell (PBE, the Materials Project).
Peak positions follow from Bragg's law for the DFT cell and can differ from measured ones.

The 10 most intense peaks (10° ≤ 2θ ≤ 90°), most intense first:
hkl	2θ/deg	Rel. int.
1 3 2	42.90	100
1 3 -3	44.42	81
1 3 0	37.22	48
0 2 3	34.31	42
0 0 5	45.30	41
2 0 2	44.78	41
2 2 -1	43.32	40
1 1 -3	31.94	39
2 0 -1	37.37	29
0 4 0	43.01	25

Atomic structure:
abc: 4.8254 8.4120 10.1472
angles: 90.00 99.47 90.00
Space group C2/m (No. 12)
One atom of each set of equivalent atoms:
Er1 0.0000 0.0000 0.0000 [2 per cell]
Er2 0.1322 0.0000 0.3554 [4 per cell]
Ni1 0.0000 0.3336 0.0000 [4 per cell]
Ni2 0.0782 0.5000 0.2000 [4 per cell]
Ni3 0.1389 0.3278 0.4047 [8 per cell]
Ni4 0.1790 0.2510 0.8018 [8 per cell]



8.
Simulated powder X-ray diffraction pattern of Sn3PO6 for λ = 1.5418 Å (Cu Kα), from a DFT-relaxed cell (PBE, the Materials Project).
Peak positions follow from Bragg's law for the DFT cell and can differ from measured ones.

The 10 most intense peaks (10° ≤ 2θ ≤ 90°), most intense first:
hkl	2θ/deg	Rel. int.
1 2 1	27.72	100
1 1 -3	25.10	44
1 1 -2	21.09	35
0 1 4	31.28	34
1 3 -3	33.95	30
0 4 0	31.99	27
2 2 -5	46.71	20
1 3 5	54.93	16
1 6 1	54.43	15
0 1 3	23.93	14

Atomic structure:
abc: 5.0404 11.1903 12.6317
angles: 90.00 110.53 90.00
Space group P2_1/c (No. 14)
One atom of each set of equivalent atoms:
Sn1 0.0447 0.1427 0.1794 [4 per cell]
Sn2 0.2701 0.6081 0.0447 [4 per cell]
Sn3 0.3685 0.1410 0.9171 [4 per cell]
P1 0.4356 0.6552 0.8126 [4 per cell]
O1 0.1356 0.7090 0.7550 [4 per cell]
O2 0.2157 0.7100 0.4923 [4 per cell]
O3 0.3433 0.1825 0.3566 [4 per cell]
O4 0.3488 0.2445 0.1309 [4 per cell]
O5 0.4256 0.5673 0.9081 [4 per cell]
O6 0.4744 0.0794 0.7712 [4 per cell]



9.
Simulated powder X-ray diffraction pattern of KCo2As2 for λ = 1.5418 Å (Cu Kα), from a DFT-relaxed cell (PBE, the Materials Project).
Peak positions follow from Bragg's law for the DFT cell and can differ from measured ones.

The 10 most intense peaks (10° ≤ 2θ ≤ 90°), most intense first:
hkl	2θ/deg	Rel. int.
0 0 2	12.97	100
1 0 3	30.66	99
1 1 6	52.73	56
1 1 4	42.85	43
2 0 0	47.91	38
2 1 3	57.96	30
1 1 2	35.94	21
2 0 2	49.85	13
2 2 0	70.09	11
3 1 4	85.77	11

Atomic structure:
abc: 3.7975 3.7975 13.6551
angles: 90.00 90.00 90.00
Space group I4/mmm (No. 139)
One atom of each set of equivalent atoms:
K1 0.0000 0.0000 0.0000 [2 per cell]
Co1 0.0000 0.5000 0.2500 [4 per cell]
As1 0.0000 0.0000 0.3466 [4 per cell]



10.
Simulated powder X-ray diffraction pattern of Dy3Cu4Si4 for λ = 1.5418 Å (Cu Kα), from a DFT-relaxed cell (PBE, the Materials Project).
Peak positions follow from Bragg's law for the DFT cell and can differ from measured ones.

The 10 most intense peaks (10° ≤ 2θ ≤ 90°), most intense first:
hkl	2θ/deg	Rel. int.
1 2 1	35.56	100
1 1 4	36.70	84
0 3 3	46.12	29
2 0 0	43.70	28
0 1 3	23.75	22
2 3 3	65.41	20
1 1 2	28.64	19
0 0 6	39.43	18
1 0 1	22.42	16
1 2 7	59.35	15

Atomic structure:
abc: 4.1426 6.5419 13.7116
angles: 90.00 90.00 90.00
Space group Immm (No. 71)
One atom of each set of equivalent atoms:
Dy1 0.0000 0.0000 0.0000 [2 per cell]
Dy2 0.0000 0.5000 0.1298 [4 per cell]
Cu1 0.0000 0.3098 0.3315 [8 per cell]
Si1 0.0000 0.0000 0.2162 [4 per cell]
Si2 0.0000 0.1843 0.5000 [4 per cell]



11.
Simulated powder X-ray diffraction pattern of TbDy3Fe8 for λ = 1.5418 Å (Cu Kα), from a DFT-relaxed cell (PBE, the Materials Project).
Peak positions follow from Bragg's law for the DFT cell and can differ from measured ones.

The 10 most intense peaks (10° ≤ 2θ ≤ 90°), most intense first:
hkl	2θ/deg	Rel. int.
1 1 6	41.07	100
1 1 0	34.81	68
2 0 14	66.68	31
3 0 0	62.42	25
2 2 0	73.50	22
0 0 6	21.11	17
0 0 12	42.99	14
3 1 8	83.97	11
1 0 22	87.83	11
0 1 14	54.91	5

Atomic structure:
abc: 5.1533 5.1533 25.2556
angles: 90.00 90.00 120.00
Space group R3m (No. 160, hexagonal axes)
One atom of each set of equivalent atoms:
Tb1 0.0000 0.0000 0.0000 [3 per cell]
Dy1 0.0000 0.0000 0.3749 [3 per cell]
Dy2 0.0000 0.0000 0.5000 [3 per cell]
Dy3 0.0000 0.0000 0.8749 [3 per cell]
Fe1 0.0000 0.0000 0.1875 [3 per cell]
Fe2 0.0000 0.0000 0.6875 [3 per cell]
Fe3 0.0002 0.5001 0.4375 [9 per cell]
Fe4 0.0000 0.5000 0.9374 [9 per cell]



12.
Simulated powder X-ray diffraction pattern of Al5FeNi for λ = 1.5418 Å (Cu Kα), from a DFT-relaxed cell (PBE, the Materials Project).
Peak positions follow from Bragg's law for the DFT cell and can differ from measured ones.

The 10 most intense peaks (10° ≤ 2θ ≤ 90°), most intense first:
hkl	2θ/deg	Rel. int.
2 2 4	42.95	100
3 0 4	44.68	90
1 0 6	42.34	75
1 2 2	29.21	67
0 2 6	47.23	46
2 0 0	23.20	36
0 1 1	13.28	31
4 0 0	47.43	21
2 0 10	75.49	20
5 0 6	75.29	20

Atomic structure:
abc: 7.6677 7.6977 13.3351
angles: 90.00 90.00 90.00
Space group Amm2 (No. 38)
One atom of each set of equivalent atoms:
Al1 0.0000 0.0000 0.0655 [2 per cell]
Al2 0.0000 0.2061 0.8643 [4 per cell]
Al3 0.1858 0.0000 0.4058 [4 per cell]
Al4 0.1890 0.2058 0.1949 [8 per cell]
Al5 0.2461 0.0000 0.5979 [4 per cell]
Al6 0.3032 0.2050 0.0000 [8 per cell]
Al7 0.3084 0.0000 0.7947 [4 per cell]
Al8 0.5000 0.0000 0.1287 [2 per cell]
Al9 0.5000 0.2052 0.3335 [4 per cell]
Fe1 0.0000 0.0000 0.2662 [2 per cell]
Fe2 0.0000 0.1916 0.5361 [4 per cell]
Fe3 0.5000 0.0000 0.9335 [2 per cell]
Ni1 0.0000 0.0000 0.7255 [2 per cell]
Ni2 0.5000 0.0000 0.4711 [2 per cell]
Ni3 0.5000 0.1874 0.6622 [4 per cell]